# 1
The following is a simulated XRD peak list of Li3Ag3Au2. It was derived from a PBE-relaxed structure, using Cu Kα, 1.54184 Å.
Neutral-atom scattering factors, no anomalous dispersion.

```
data_Li3Ag3Au2
_chemical_formula_sum 'Li9 Ag9 Au6'
_space_group_name_H-M_alt 'R 3 2'
_space_group_IT_number 155
_space_group_name_Hall 'R 3 2"'
_cell_length_a 7.0970
_cell_length_b 7.0970
_cell_length_c 9.2340
_cell_angle_alpha 90.00
_cell_angle_beta 90.00
_cell_angle_gamma 120.00
loop_
_atom_site_label
_atom_site_fract_x
_atom_site_fract_y
_atom_site_fract_z
Li1 0.0000 0.2507 0.0000
Ag1 0.0000 0.7601 0.5000
Au1 0.0000 0.0000 0.2384
```

Principal peaks in the range 15° ≤ 2θ ≤ 90°, by intensity:
h k l	2theta	intensity
1 2 2	43.62	100.0
1 1 0	25.10	83.2
2 0 2	35.08	73.0
0 1 2	24.11	47.9
1 0 4	41.80	45.6
3 0 0	44.21	33.2
2 1 1	40.02	32.5
0 0 3	29.01	26.1
4 1 0	70.17	22.9
1 1 6	66.19	22.3

=====

# 2
The following is a simulated XRD peak list of AlCuGe. It was derived from a PBE-relaxed structure, using Cu Kα, 1.54184 Å.
Neutral-atom scattering factors, no anomalous dispersion.

```
data_AlCuGe
_chemical_formula_sum 'Al2 Cu2 Ge2'
_space_group_name_H-M_alt 'P 1 21 1'
_space_group_IT_number 4
_cell_length_a 4.053
_cell_length_b 4.053
_cell_length_c 5.842
_cell_angle_alpha 90.00
_cell_angle_beta 90.04
_cell_angle_gamma 90.00
loop_
_space_group_symop_operation_xyz
'x,y,z'
'-x,y+1/2,-z'
loop_
_atom_site_label
_atom_site_fract_x
_atom_site_fract_y
_atom_site_fract_z
Al1 0.249 0.000 0.215
Cu1 0.251 0.499 0.500
Ge1 0.250 0.000 0.779
```

Principal peaks in the range 15° ≤ 2θ ≤ 90°, by intensity:
h k l	2theta	intensity
1 1 2	44.28	100.0
1 1 -1	34.87	58.5
2 0 0	44.72	53.1
0 0 1	15.17	34.3
1 0 1	26.77	33.0
3 1 2	82.12	30.4
2 2 0	65.10	16.5
0 2 3	66.61	16.1
0 0 3	46.64	12.4
2 0 4	81.19	11.7

=====

# 3
The following is a simulated XRD peak list of CsZnGePSe. It was derived from a PBE-relaxed structure, using Cu Kα, 1.54184 Å.
Neutral-atom scattering factors, no anomalous dispersion.

```
data_CsZnGePSe
_chemical_formula_sum 'Cs1 Zn1 Ge1 P1 Se1'
_space_group_name_H-M_alt 'P 1'
_space_group_IT_number 1
_cell_length_a 4.090
_cell_length_b 5.227
_cell_length_c 8.214
_cell_angle_alpha 90.85
_cell_angle_beta 104.40
_cell_angle_gamma 112.89
loop_
_space_group_symop_operation_xyz
'x,y,z'
loop_
_atom_site_label
_atom_site_fract_x
_atom_site_fract_y
_atom_site_fract_z
Cs1 0.000 0.000 0.000
Zn1 0.869 0.180 0.564
Ge1 0.568 0.654 0.489
P1 0.515 0.343 0.696
Se1 0.881 0.468 0.299
```

Principal peaks in the range 15° ≤ 2θ ≤ 90°, by intensity:
h k l	2theta	intensity
-1 1 1	24.61	100.0
1 0 1	29.88	85.5
1 0 -3	36.24	80.1
0 1 1	22.93	80.0
0 1 -2	27.45	71.4
1 1 0	36.77	45.8
0 1 -1	20.49	43.0
0 0 2	22.53	42.4
1 0 -1	24.06	38.7
-2 1 1	44.30	38.4

=====

# 4
The following is a simulated XRD peak list of GaCu3Au3. It was derived from a PBE-relaxed structure, using Cu Kα, 1.54184 Å.
Neutral-atom scattering factors, no anomalous dispersion.

```
data_GaCu3Au3
_chemical_formula_sum 'Ga2 Cu6 Au6'
_space_group_name_H-M_alt 'P 63/m'
_space_group_IT_number 176
_space_group_name_Hall '-P 6c'
_cell_length_a 7.3356
_cell_length_b 7.3356
_cell_length_c 4.5920
_cell_angle_alpha 90.00
_cell_angle_beta 90.00
_cell_angle_gamma 120.00
loop_
_atom_site_label
_atom_site_fract_x
_atom_site_fract_y
_atom_site_fract_z
Ga1 0.3333 0.6667 0.2500
Cu1 0.1113 0.6248 0.7500
Au1 0.0589 0.7960 0.2500
```

Principal peaks in the range 15° ≤ 2θ ≤ 90°, by intensity:
h k l	2theta	intensity
1 2 1	42.48	100.0
0 0 2	39.24	29.3
1 2 0	37.45	23.6
1 2 3	73.35	19.6
1 1 1	31.21	18.8
4 1 2	81.02	17.9
1 2 2	55.36	15.1
4 1 0	67.57	14.7
2 0 1	34.33	13.1
2 4 1	83.17	12.1

=====

# 5
The following is a simulated XRD peak list of TbDy2ErSe6. It was derived from a PBE-relaxed structure, using Cu Kα, 1.54184 Å.
Neutral-atom scattering factors, no anomalous dispersion.

```
data_TbDy2ErSe6
_chemical_formula_sum 'Tb3 Dy6 Er3 Se18'
_space_group_name_H-M_alt 'R 3'
_space_group_IT_number 146
_space_group_name_Hall 'R 3'
_cell_length_a 7.1966
_cell_length_b 7.1966
_cell_length_c 19.4359
_cell_angle_alpha 90.00
_cell_angle_beta 90.00
_cell_angle_gamma 120.00
loop_
_atom_site_label
_atom_site_fract_x
_atom_site_fract_y
_atom_site_fract_z
Tb1 0.0000 0.0000 0.0000
Dy1 0.0000 0.0000 0.3031
Dy2 0.0000 0.0000 0.8039
Er1 0.0000 0.0000 0.4988
Se1 0.0011 0.3039 0.4020
Se2 0.0282 0.6697 0.5681
```

Principal peaks in the range 15° ≤ 2θ ≤ 90°, by intensity:
h k l	2theta	intensity
1 1 6	37.35	100.0
3 0 0	43.57	61.9
1 0 4	23.21	56.4
1 1 3	28.37	56.0
0 1 2	16.90	42.2
1 1 0	24.74	40.3
0 2 4	34.18	36.1
2 1 4	42.66	33.2
4 -2 6	58.70	25.8
4 1 6	75.87	22.2

=====

# 6
The following is a simulated XRD peak list of DyEr4Zn4. It was derived from a PBE-relaxed structure, using Cu Kα, 1.54184 Å.
Neutral-atom scattering factors, no anomalous dispersion.

```
data_DyEr4Zn4
_chemical_formula_sum 'Dy2 Er8 Zn8'
_space_group_name_H-M_alt 'P 42/n'
_space_group_IT_number 86
_cell_length_a 8.951
_cell_length_b 8.951
_cell_length_c 5.868
_cell_angle_alpha 90.00
_cell_angle_beta 90.00
_cell_angle_gamma 90.00
loop_
_space_group_symop_operation_xyz
'x,y,z'
'-x,-y,-z'
'-y,x+1/2,z+1/2'
'y,-x+1/2,-z+1/2'
'-x+1/2,-y+1/2,z'
'x+1/2,y+1/2,-z'
'y+1/2,-x,z+1/2'
'-y+1/2,x,-z+1/2'
loop_
_atom_site_label
_atom_site_fract_x
_atom_site_fract_y
_atom_site_fract_z
Dy1 0.250 0.250 0.250
Er1 0.066 0.660 0.139
Zn1 0.023 0.616 0.627
```

Principal peaks in the range 15° ≤ 2θ ≤ 90°, by intensity:
h k l	2theta	intensity
1 3 0	31.61	100.0
2 1 1	26.96	64.7
1 0 2	32.11	58.4
4 2 0	45.31	32.9
3 2 2	48.01	27.4
1 2 2	38.03	25.5
5 0 1	53.52	23.0
3 0 2	43.25	22.1
1 3 4	72.63	17.7
1 4 2	52.43	17.0